[1]
Theoretical X-ray powder pattern of SmTcO3F for Cu Kα (λ = 1.5418 Å), from a DFT-relaxed cell (PBE, OQMD).

The 12 most intense peaks (5° ≤ 2θ ≤ 70°), sorted by position:
4.153 Å, I = 41
4.029 Å, I = 81
3.978 Å, I = 94
3.560 Å, I = 48
3.359 Å, I = 37
3.288 Å, I = 100
3.274 Å, I = 78
3.008 Å, I = 94
2.988 Å, I = 44
2.321 Å, I = 42
2.246 Å, I = 36
1.931 Å, I = 48

a = 4.4359 Å, b = 6.7244 Å, c = 6.8655 Å
α = 109.72°, β = 106.77°, γ = 100.81°
Sites, in units of the cell vectors:
Sm1 0.0273 0.1743 0.3036
Sm2 0.9727 0.8257 0.6964
Tc1 0.2581 0.3674 0.8599
Tc2 0.7419 0.6326 0.1401
O1 0.0061 0.4895 0.7094
O2 0.0527 0.1855 0.9623
O3 0.3485 0.1707 0.6467
O4 0.6515 0.8293 0.3533
O5 0.9473 0.8145 0.0377
O6 0.9939 0.5105 0.2906
F1 0.4695 0.8076 0.7064
F2 0.5305 0.1924 0.2936



[2]
Theoretical X-ray powder pattern of NdAlInPt for Cu Kα (λ = 1.5418 Å), from a DFT-relaxed cell (PBE, OQMD).

The 12 most intense peaks (5° ≤ 2θ ≤ 70°), sorted by position:
8.641 Å, I = 100
3.182 Å, I = 85
2.928 Å, I = 57
2.880 Å, I = 52
2.647 Å, I = 38
2.363 Å, I = 63
2.337 Å, I = 95
2.279 Å, I = 25
2.204 Å, I = 48
1.991 Å, I = 31
1.568 Å, I = 32
1.516 Å, I = 33

a = 9.0773 Å, b = 9.0773 Å, c = 3.9812 Å
α = 90.00°, β = 90.00°, γ = 144.33°
Sites, in units of the cell vectors:
Nd1 0.1144 0.8856 0.0000
Nd2 0.8856 0.1144 0.0000
Al1 0.2944 0.7031 0.9683
Al2 0.7031 0.2944 0.9683
In1 0.4146 0.5841 0.4823
In2 0.5841 0.4146 0.4823
Pt1 0.9998 0.5005 0.4672
Pt2 0.5005 0.9998 0.4672